For SmDy8Y4, a cell relaxed with PBE gives the simulated XRD peak list in this record (Cu Kα X-rays).
Intensities are scaled so that the largest is 100.

Structural model:
a = 7.3257 Å, b = 7.3257 Å, c = 27.0640 Å
α = 90.00°, β = 90.00°, γ = 120.00°
Space group R-3m (No. 166, hexagonal axes)
Asymmetric unit:
Sm 0.0000 0.0000 0.0000 (multiplicity 3)
Dy 0.0000 0.0000 0.2821 (multiplicity 6)
Dy 0.0380 0.5190 0.2689 (multiplicity 18)
Y 0.0000 0.0000 0.5000 (multiplicity 3)
Y 0.0000 0.5000 0.5000 (multiplicity 9)

Largest 6 diffraction maxima, sorted by position, 2θ from 10° to 90°:
d (Å)	two_theta	I_rel
3.088	28.91	22
3.007	29.71	30
2.872	31.14	100
2.737	32.72	36
2.314	38.92	24
1.831	49.79	30



For Th2Co5B4, a cell relaxed with PBE gives the simulated XRD peak list in this record (Cu Kα X-rays).
Intensities are scaled so that the largest is 100.

Structural model:
a = 9.8105 Å, b = 5.0839 Å, c = 6.8195 Å
α = 90.00°, β = 127.48°, γ = 90.00°
Space group C2/m (No. 12)
Asymmetric unit:
Th 0.2193 0.0000 0.1533 (multiplicity 4)
Co 0.0000 0.5000 0.0000 (multiplicity 2)
Co 0.0678 0.2514 0.3729 (multiplicity 8)
B 0.1041 0.0000 0.6458 (multiplicity 4)
B 0.2217 0.5000 0.3546 (multiplicity 4)

Largest 6 diffraction maxima, sorted by position, 2θ from 10° to 90°:
d (Å)	two_theta	I_rel
4.067	21.85	70
2.908	30.74	40
2.727	32.84	100
2.301	39.15	37
2.236	40.33	41
2.034	44.55	36



For DyLu2, a cell relaxed with PBE gives the simulated XRD peak list in this record (Cu Kα X-rays).
Intensities are scaled so that the largest is 100.

Structural model:
a = 3.4712 Å, b = 3.4712 Å, c = 14.8382 Å
α = 90.00°, β = 90.00°, γ = 90.00°
Space group I4/mmm (No. 139)
Asymmetric unit:
Dy 0.0000 0.0000 0.0000 (multiplicity 2)
Lu 0.0000 0.0000 0.3325 (multiplicity 4)

Largest 6 diffraction maxima, sorted by position, 2θ from 10° to 90°:
d (Å)	two_theta	I_rel
2.841	31.49	100
2.473	36.33	17
2.455	36.61	33
1.742	52.53	24
1.489	62.35	14
1.481	62.73	28



For AcTbDy6Ho2, a cell relaxed with PBE gives the simulated XRD peak list in this record (Cu Kα X-rays).
Intensities are scaled so that the largest is 100.

Structural model:
a = 9.2084 Å, b = 15.2225 Å, c = 9.5090 Å
α = 90.00°, β = 95.00°, γ = 90.00°
Space group C2/c (No. 15)
Asymmetric unit:
Ac 0.0000 0.0305 0.2500 (multiplicity 4)
Tb 0.0000 0.4118 0.7500 (multiplicity 4)
Dy 0.0608 0.1886 0.9426 (multiplicity 8)
Dy 0.1009 0.3891 0.1161 (multiplicity 8)
Dy 0.2146 0.2297 0.3194 (multiplicity 8)
Ho 0.2415 0.4431 0.4511 (multiplicity 8)

Largest 6 diffraction maxima, sorted by position, 2θ from 10° to 90°:
d (Å)	two_theta	I_rel
3.173	28.12	36
2.931	30.50	54
2.918	30.64	100
2.890	30.95	38
2.843	31.47	32
2.626	34.14	36